# 1
Computed PXRD pattern of K3BaSb2O6 for Cu Kα, from the PBE geometry in Alexandria.
Neutral-atom scattering factors, no anomalous dispersion.

Lattice parameters (Å, degrees): 6.5721 6.5721 7.3498 90.00 90.00 120.00
Space group P-3m1 (No. 164)
One atom of each set of equivalent atoms:
K (0.0000, 0.0000, 0.0000) [1 per cell]
K (0.3333, 0.6667, 0.6402) [2 per cell]
Ba (0.0000, 0.0000, 0.5000) [1 per cell]
Sb (0.3333, 0.6667, 0.1633) [2 per cell]
O (0.1806, 0.3612, 0.2798) [6 per cell]

Peak list (10 most intense, 10° ≤ 2θ ≤ 90°, by angle)
2theta  I/Imax  index
19.73  83  1 0 1
27.14  100  1 1 0
28.92  88  0 1 2
40.07  51  2 0 2
43.85  19  2 1 1
47.95  20  3 0 0
49.07  37  1 2 2
55.97  19  2 2 0
59.93  19  0 2 4
66.98  18  2 1 4

# 2
Computed PXRD pattern of KBa3Sb2O for Cu Kα, from the PBE geometry in Alexandria.
Neutral-atom scattering factors, no anomalous dispersion.

Lattice parameters (Å, degrees): 5.2571 5.3572 17.9482 90.00 90.00 90.00
Space group Immm (No. 71)
One atom of each set of equivalent atoms:
K (0.0000, 0.0000, 0.0000) [2 per cell]
Ba (0.0000, 0.0000, 0.5000) [2 per cell]
Ba (0.0000, 0.5000, 0.3409) [4 per cell]
Sb (0.0000, 0.5000, 0.1407) [4 per cell]
O (0.0000, 0.5000, 0.5000) [2 per cell]

Peak list (10 most intense, 10° ≤ 2θ ≤ 90°, by angle)
2theta  I/Imax  index
23.71  40  1 1 0
25.73  52  1 1 2
29.87  31  0 0 6
31.07  100  1 1 4
33.45  33  0 2 0
34.11  31  2 0 0
45.45  19  0 2 6
45.96  18  2 0 6
48.52  22  2 2 0
56.87  19  1 1 10

# 3
Computed PXRD pattern of K2Ba5Si12O30 for Cu Kα, from the PBE geometry in Alexandria.
Neutral-atom scattering factors, no anomalous dispersion.

Lattice parameters (Å, degrees): 24.1706 7.8429 8.3795 90.00 91.90 90.00
Space group C2/m (No. 12)
One atom of each set of equivalent atoms:
K (0.0539, 0.0000, 0.2525) [4 per cell]
Ba (0.0000, 0.5000, 0.5000) [2 per cell]
Ba (0.1478, 0.5000, 0.2395) [4 per cell]
Ba (0.1964, 0.0000, 0.9946) [4 per cell]
Si (0.0605, 0.2961, 0.9470) [8 per cell]
Si (0.1007, 0.2018, 0.6122) [8 per cell]
Si (0.2268, 0.2922, 0.6763) [8 per cell]
O (0.0000, 0.2171, 0.0000) [4 per cell]
O (0.0594, 0.2861, 0.7484) [8 per cell]
O (0.0600, 0.5000, 0.9964) [4 per cell]
O (0.0821, 0.0000, 0.6014) [4 per cell]
O (0.0889, 0.2958, 0.4456) [8 per cell]
O (0.1110, 0.2089, 0.0412) [8 per cell]
O (0.1644, 0.2071, 0.6873) [8 per cell]
O (0.2195, 0.5000, 0.6923) [4 per cell]
O (0.2339, 0.2829, 0.1837) [8 per cell]
O (0.2500, 0.2500, 0.5000) [4 per cell]

Peak list (10 most intense, 10° ≤ 2θ ≤ 90°, by angle)
2theta  I/Imax  index
15.99  27  1 1 1
23.83  85  5 1 -1
26.26  100  2 2 1
26.85  59  3 1 2
28.25  18  7 1 0
31.85  41  8 0 1
34.37  16  4 2 -2
39.48  27  5 1 3
42.07  20  3 3 -2
43.42  22  7 3 0